Diffraction record for TbDy5Mg4. The XRD peak list is computed, not measured: it uses a structure optimized by DFT (PBE) and λ = 1.5418 Å (Cu Kα).
No peak broadening, texture or thermal motion is included.

Cell and atoms:
Unit cell a=3.7267 b=3.7267 c=20.2587 alpha=90.00 beta=90.00 gamma=90.00
Space group P4/mmm (No. 123)
Unique sites:
Tb 0.0000 0.0000 0.0000
Dy 0.5000 0.5000 0.1181
Dy 0.5000 0.5000 0.3100
Dy 0.5000 0.5000 0.5000
Mg 0.0000 0.0000 0.2148
Mg 0.0000 0.0000 0.4046

Most intense lines, 2θ = 10–80°, by intensity:
index	two_theta	Rel. int.
1 0 5	32.65	100
1 1 0	34.02	52
2 1 5	60.02	35
1 0 0	23.88	33
2 0 0	48.88	19
0 0 5	21.94	16
1 1 5	40.85	13
1 1 10	57.37	13
1 0 4	29.76	11
1 0 11	55.67	8